Record 1
Structure and theoretical powder diffractogram of Ni14C (a PBE-relaxed structure; CuKα).

Structure:
Unit cell a=5.7504 b=5.7504 c=5.7504 alpha=75.59 beta=75.59 gamma=75.59
Element x y z (fractional)
Ni 0.1434 0.1434 0.1434
Ni 0.1758 0.5000 0.8242
Ni 0.1758 0.8242 0.5000
Ni 0.2126 0.2126 0.5667
Ni 0.2126 0.5667 0.2126
Ni 0.4333 0.7874 0.7874
Ni 0.5000 0.1758 0.8242
Ni 0.5000 0.8242 0.1758
Ni 0.5667 0.2126 0.2126
Ni 0.7874 0.4333 0.7874
Ni 0.7874 0.7874 0.4333
Ni 0.8242 0.1758 0.5000
Ni 0.8242 0.5000 0.1758
Ni 0.8566 0.8566 0.8566
C 0.0000 0.0000 0.0000

Largest 6 diffraction maxima, low angle first, 2θ from 5° to 70°:
32.83 deg, rel. 20; 39.77 deg, rel. 48; 41.88 deg, rel. 31; 44.58 deg, rel. 56; 50.14 deg, rel. 100; 67.37 deg, rel. 13

=====

Record 2
Structure and theoretical powder diffractogram of Y2CoNiGe4 (a PBE-relaxed structure; CuKα).

Structure:
Unit cell a=4.1834 b=4.1002 c=16.5909 alpha=90.00 beta=90.00 gamma=90.00
Element x y z (fractional)
Y 0.0000 0.0000 0.0000
Y 0.0000 0.5000 0.5000
Y 0.5000 0.0000 0.2162
Y 0.5000 0.5000 0.7162
Co 0.0000 0.0000 0.7891
Co 0.0000 0.5000 0.2891
Ni 0.5000 0.0000 0.4300
Ni 0.5000 0.5000 0.9300
Ge 0.0000 0.0000 0.3588
Ge 0.0000 0.0000 0.6522
Ge 0.0000 0.5000 0.1522
Ge 0.0000 0.5000 0.8588
Ge 0.5000 0.0000 0.5674
Ge 0.5000 0.0000 0.8559
Ge 0.5000 0.5000 0.0674
Ge 0.5000 0.5000 0.3559

Largest 6 diffraction maxima, low angle first, 2θ from 5° to 70°:
34.66 deg, rel. 100; 34.78 deg, rel. 33; 39.05 deg, rel. 28; 43.25 deg, rel. 33; 44.18 deg, rel. 31; 63.54 deg, rel. 20

=====

Record 3
Structure and theoretical powder diffractogram of LiMg2Cu5 (a PBE-relaxed structure; CuKα).

Structure:
Unit cell a=4.2191 b=4.2191 c=5.9944 alpha=90.00 beta=90.00 gamma=90.00
Element x y z (fractional)
Li 0.0000 0.0000 0.0000
Mg 0.0000 0.0000 0.5000
Mg 0.5000 0.5000 0.0000
Cu 0.0000 0.5000 0.2531
Cu 0.0000 0.5000 0.7469
Cu 0.5000 0.0000 0.2531
Cu 0.5000 0.0000 0.7469
Cu 0.5000 0.5000 0.5000

Largest 6 diffraction maxima, low angle first, 2θ from 5° to 70°:
14.78 deg, rel. 11; 29.81 deg, rel. 10; 29.95 deg, rel. 19; 42.77 deg, rel. 100; 42.87 deg, rel. 50; 62.24 deg, rel. 15

=====

Record 4
Structure and theoretical powder diffractogram of Cu2Ag3 (a PBE-relaxed structure; CuKα).

Structure:
Unit cell a=6.8927 b=2.8533 c=8.0784 alpha=90.00 beta=101.71 gamma=90.00
Element x y z (fractional)
Cu 0.0000 0.0000 0.0000
Cu 0.2380 0.0000 0.5993
Cu 0.5000 0.5000 0.5000
Cu 0.7620 0.0000 0.4007
Ag 0.0736 0.5000 0.3231
Ag 0.2967 0.5000 0.8965
Ag 0.3828 0.0000 0.2122
Ag 0.6172 0.0000 0.7878
Ag 0.7033 0.5000 0.1035
Ag 0.9264 0.5000 0.6769

Largest 6 diffraction maxima, low angle first, 2θ from 5° to 70°:
39.12 deg, rel. 54; 39.35 deg, rel. 44; 39.65 deg, rel. 100; 44.56 deg, rel. 73; 48.39 deg, rel. 22; 67.72 deg, rel. 17

=====

Record 5
Structure and theoretical powder diffractogram of ZnIr8 (a PBE-relaxed structure; CuKα).

Structure:
Unit cell a=4.7246 b=4.7246 c=29.1532 alpha=90.17 beta=90.17 gamma=48.14
Element x y z (fractional)
Zn 0.0452 0.0452 0.2493
Zn 0.9548 0.9548 0.7507
Ir 0.0488 0.0488 0.9554
Ir 0.1471 0.1471 0.8661
Ir 0.1542 0.1542 0.1636
Ir 0.2521 0.2521 0.7790
Ir 0.2526 0.2526 0.0745
Ir 0.3496 0.3496 0.9856
Ir 0.4465 0.4465 0.8961
Ir 0.4495 0.4495 0.1931
Ir 0.5505 0.5505 0.8069
Ir 0.5535 0.5535 0.1039
Ir 0.6504 0.6504 0.0144
Ir 0.7474 0.7474 0.9255
Ir 0.7479 0.7479 0.2210
Ir 0.8458 0.8458 0.8364
Ir 0.8529 0.8529 0.1339
Ir 0.9512 0.9512 0.0446

Largest 6 diffraction maxima, low angle first, 2θ from 5° to 70°:
9.10 deg, rel. 40; 37.72 deg, rel. 19; 40.19 deg, rel. 100; 41.11 deg, rel. 36; 42.68 deg, rel. 24; 47.17 deg, rel. 17

=====

Record 6
Structure and theoretical powder diffractogram of NdYNO (a PBE-relaxed structure; CuKα).

Structure:
Unit cell a=8.2213 b=6.7849 c=5.0423 alpha=90.00 beta=90.00 gamma=90.00
Element x y z (fractional)
Nd 0.1254 0.0694 0.2500
Nd 0.1254 0.4306 0.7500
Nd 0.8746 0.5694 0.2500
Nd 0.8746 0.9306 0.7500
Y 0.3778 0.5850 0.2500
Y 0.3778 0.9150 0.7500
Y 0.6222 0.0850 0.2500
Y 0.6222 0.4150 0.7500
N 0.3822 0.5781 0.7500
N 0.3822 0.9219 0.2500
N 0.6178 0.0781 0.7500
N 0.6178 0.4219 0.2500
O 0.1421 0.0870 0.7500
O 0.1421 0.4130 0.2500
O 0.8579 0.5870 0.7500
O 0.8579 0.9130 0.2500

Largest 6 diffraction maxima, low angle first, 2θ from 5° to 70°:
25.33 deg, rel. 39; 31.01 deg, rel. 100; 31.79 deg, rel. 38; 35.61 deg, rel. 37; 45.79 deg, rel. 33; 59.32 deg, rel. 30

=====

Record 7
Structure and theoretical powder diffractogram of ZnB6 (a PBE-relaxed structure; CuKα).

Structure:
Unit cell a=5.3759 b=5.3759 c=5.3759 alpha=71.26 beta=71.26 gamma=71.26
Element x y z (fractional)
Zn 0.1252 0.1252 0.1252
Zn 0.8748 0.8748 0.8748
B 0.1722 0.4835 0.4835
B 0.2437 0.6696 0.6696
B 0.3304 0.3304 0.7563
B 0.3304 0.7563 0.3304
B 0.4835 0.1722 0.4835
B 0.4835 0.4835 0.1722
B 0.5165 0.5165 0.8278
B 0.5165 0.8278 0.5165
B 0.6696 0.2437 0.6696
B 0.6696 0.6696 0.2437
B 0.7563 0.3304 0.3304
B 0.8278 0.5165 0.5165

Largest 6 diffraction maxima, low angle first, 2θ from 5° to 70°:
17.96 deg, rel. 44; 22.35 deg, rel. 45; 28.50 deg, rel. 100; 33.89 deg, rel. 65; 34.30 deg, rel. 94; 36.52 deg, rel. 45

=====

Record 8
Structure and theoretical powder diffractogram of BaAl2ZnGa (a PBE-relaxed structure; CuKα).

Structure:
Unit cell a=4.4201 b=4.4201 c=11.5144 alpha=90.00 beta=90.00 gamma=90.00
Element x y z (fractional)
Ba 0.0000 0.0000 0.0000
Ba 0.5000 0.5000 0.5000
Al 0.0000 0.5000 0.2491
Al 0.0000 0.5000 0.7491
Al 0.5000 0.0000 0.2491
Al 0.5000 0.0000 0.7491
Zn 0.0000 0.0000 0.6199
Zn 0.5000 0.5000 0.1199
Ga 0.0000 0.0000 0.3855
Ga 0.5000 0.5000 0.8855

Largest 6 diffraction maxima, low angle first, 2θ from 5° to 70°:
28.56 deg, rel. 63; 30.85 deg, rel. 100; 32.60 deg, rel. 73; 40.83 deg, rel. 53; 44.35 deg, rel. 50; 52.04 deg, rel. 45